Structure and simulated powder diffractogram of Li2VCrO4 (a GGA+U-relaxed structure; copper Kα).
Kinematic intensities with the Lorentz-polarization factor, no thermal factor.

Crystal structure
```
Li2VCrO4
1.0
5.1746 0.0000 0.0000
0.0000 2.9726 0.0000
-1.7738 0.0000 4.8912
Li V Cr O
2 1 1 4
direct
0.0000 0.0000 0.0000 Li
0.0000 0.5000 0.5000 Li
0.5000 0.0000 0.5000 V
0.5000 0.5000 0.0000 Cr
0.2728 0.0000 0.7605 O
0.2739 0.5000 0.2547 O
0.7261 0.5000 0.7453 O
0.7272 0.0000 0.2395 O
```

Peak list (10 most intense, 2θ = 10–90°, low angle first)
- 2θ 18.24, I 100
- 2θ 35.00, I 14
- 2θ 35.33, I 27
- 2θ 36.92, I 11
- 2θ 42.56, I 29
- 2θ 42.99, I 57
- 2θ 46.92, I 13
- 2θ 56.85, I 9
- 2θ 61.95, I 16
- 2θ 62.23, I 15